# Mg3ZnSe
Simulated powder diffractogram, CuKα. Input: a crystal structure in Alexandria, relaxed with PBE.

Main lines, in order of rising 2θ (2θ = 5–70°):
2θ = 16.3°, rel. 45, hkl 1 0 0
2θ = 20.3°, rel. 25, hkl 1 0 1
2θ = 28.4°, rel. 73, hkl 1 1 0
2θ = 29.3°, rel. 100, hkl 1 0 2
2θ = 35.2°, rel. 83, hkl 2 0 1
2θ = 41.3°, rel. 76, hkl 2 0 2
2θ = 50.1°, rel. 29, hkl 2 0 3
2θ = 50.9°, rel. 28, hkl 2 1 2
2θ = 58.1°, rel. 19, hkl 1 1 4
2θ = 58.8°, rel. 27, hkl 2 2 0

a = 6.280 Å, b = 6.280 Å, c = 7.360 Å
α = 90.00°, β = 90.00°, γ = 120.00°
Fractional positions:
1 Mg 0.179 0.358 0.250
2 Mg 0.179 0.821 0.250
3 Mg 0.358 0.179 0.750
4 Mg 0.642 0.821 0.250
5 Mg 0.821 0.179 0.750
6 Mg 0.821 0.642 0.750
7 Zn 0.333 0.667 0.750
8 Zn 0.667 0.333 0.250
9 Se 0.000 0.000 0.000
10 Se 0.000 0.000 0.500